Ti2Sn: theoretical PXRD pattern (Cu Kα (λ = 1.5418 Å)), based on a crystal structure in the Materials Project, relaxed with PBE.
Lines closer than 0.1° are merged.

Most intense lines, 10° ≤ 2θ ≤ 80°, sorted by position:
2θ (°), Rel. int.
23.71, 40
27.44, 41
39.19, 100
46.32, 21
56.63, 17
71.03, 33

```
3
Lattice="0.0000 3.2505 3.2505 3.2505 0.0000 3.2505 3.2505 3.2505 0.0000" Properties=species:S:1:pos:R:3 pbc="T T T"
Ti 0.0000 0.0000 0.0000
Ti 1.6252 1.6252 1.6252
Sn 3.2505 3.2505 3.2505
```

CsK2TlF6: theoretical PXRD pattern (Cu Kα (λ = 1.5418 Å)), based on a crystal structure in the Materials Project, relaxed with PBE.
Lines closer than 0.1° are merged.

Most intense lines, 10° ≤ 2θ ≤ 80°, sorted by position:
2θ (°), Rel. int.
17.88, 67
25.39, 100
36.21, 37
40.66, 32
44.74, 41
52.14, 24

```
10
Lattice="0.0000 4.9612 4.9612 4.9612 0.0000 4.9612 4.9612 4.9612 0.0000" Properties=species:S:1:pos:R:3 pbc="T T T"
Cs 0.0000 0.0000 0.0000
K 2.4806 2.4806 2.4806
K 7.4418 7.4418 7.4418
Tl 4.9612 4.9612 4.9612
F 4.9612 4.9612 2.7677
F 4.9612 2.7677 4.9612
F 7.1548 4.9612 4.9612
F 2.7677 4.9612 4.9612
F 4.9612 7.1548 4.9612
F 4.9612 4.9612 7.1548
```

ZnSb2O4: theoretical PXRD pattern (Cu Kα (λ = 1.5418 Å)), based on a crystal structure in the Materials Project, relaxed with PBE.
Lines closer than 0.1° are merged.

Most intense lines, 10° ≤ 2θ ≤ 80°, sorted by position:
2θ (°), Rel. int.
16.24, 29
31.38, 100
32.82, 30
38.07, 28
50.14, 35
54.94, 46

```
14
Lattice="0.0000 4.7270 4.7270 4.7270 0.0000 4.7270 4.7270 4.7270 0.0000" Properties=species:S:1:pos:R:3 pbc="T T T"
Zn 1.1817 1.1817 1.1817
Zn 8.2722 8.2722 8.2722
Sb 4.7270 2.3635 2.3635
Sb 2.3635 4.7270 2.3635
Sb 2.3635 2.3635 4.7270
Sb 4.7270 4.7270 4.7270
O 2.3718 2.3718 2.3718
O 4.7187 4.7187 2.3718
O 4.7187 2.3718 4.7187
O 7.0821 4.7352 4.7352
O 2.3718 4.7187 4.7187
O 4.7352 7.0821 4.7352
O 4.7352 4.7352 7.0821
O 7.0821 7.0821 7.0821
```

NaTiS2: theoretical PXRD pattern (Cu Kα (λ = 1.5418 Å)), based on a crystal structure in the Materials Project, relaxed with PBE.
Lines closer than 0.1° are merged.

Most intense lines, 10° ≤ 2θ ≤ 80°, sorted by position:
2θ (°), Rel. int.
13.02, 46
29.01, 16
31.91, 57
39.50, 100
51.41, 37
66.71, 18

```
4
Lattice="3.5547 0.0000 0.0000 -1.7773 3.0785 0.0000 0.0000 0.0000 6.7974" Properties=species:S:1:pos:R:3 pbc="T T T"
Na 0.0000 0.0000 0.0000
Ti 0.0000 0.0000 3.3987
S 0.0000 2.0523 1.9730
S 1.7774 1.0262 4.8244
```

Fe4Te3Se: theoretical PXRD pattern (Cu Kα (λ = 1.5418 Å)), based on a crystal structure in the Materials Project, relaxed with PBE.
Lines closer than 0.1° are merged.

Most intense lines, 10° ≤ 2θ ≤ 80°, sorted by position:
2θ (°), Rel. int.
13.58, 21
28.16, 100
37.70, 23
44.97, 60
50.33, 23
58.66, 25

```
8
Lattice="3.6262 0.0000 0.0000 0.0000 3.6262 0.0000 0.0000 0.0000 13.0445" Properties=species:S:1:pos:R:3 pbc="T T T"
Fe 0.0000 1.8131 0.0000
Fe 0.0000 1.8131 6.4509
Fe 1.8131 0.0000 0.0000
Fe 1.8131 0.0000 6.4509
Te 0.0000 0.0000 4.5834
Te 0.0000 0.0000 11.2043
Te 1.8131 1.8131 8.3187
Se 1.8131 1.8131 1.5905
```